Calculated powder XRD pattern
Compound: NiH20PdC4N4O12
Radiation: Cu Ka
Structure: a cell relaxed with PBE+U
Lines closer than 0.1° are merged.

Structural model:
a b c (Å): 9.1276 9.1276 9.1276
angles (deg): 133.61 131.82 69.11
Fractional coordinates of all 42 atoms:
Ni  0.0000  0.0000  0.0000
H  0.1268  0.2883  0.6160
H  0.1272  0.5308  0.8260
H  0.2023  0.3798  0.8957
H  0.2952  0.4692  0.5964
H  0.2982  0.9488  0.3555
H  0.3072  0.7050  0.3832
H  0.3218  0.9241  0.6168
H  0.3277  0.7117  0.8385
H  0.4067  0.0512  0.3493
H  0.4841  0.3066  0.1043
H  0.5159  0.6202  0.8225
H  0.5933  0.9426  0.6445
H  0.6723  0.5108  0.3840
H  0.6782  0.2950  0.6023
H  0.6928  0.0759  0.3977
H  0.7018  0.0574  0.6507
H  0.7048  0.3012  0.1740
H  0.7977  0.6934  0.1775
H  0.8732  0.4892  0.1615
H  0.8728  0.6988  0.4036
Pd  0.5000  0.5000  0.0000
C  0.1726  0.2895  0.1009
C  0.1886  0.0717  0.8991
C  0.8114  0.7105  0.8831
C  0.8274  0.9283  0.1169
N  0.2052  0.4133  0.8101
N  0.3968  0.5867  0.7919
N  0.6032  0.3951  0.1899
N  0.7948  0.6049  0.2081
O  0.0988  0.2932  0.1831
O  0.1101  0.9157  0.8169
O  0.2326  0.4420  0.1650
O  0.2767  0.0000  0.2767
O  0.2770  0.0676  0.8350
O  0.3548  0.8548  0.5000
O  0.6452  0.1452  0.5000
O  0.7233  0.0000  0.7233
O  0.7230  0.5580  0.7906
O  0.7674  0.9324  0.2094
O  0.8899  0.7068  0.8057
O  0.9012  0.0843  0.1943

Largest 8 diffraction maxima, by angle, 15 to 90 degrees two-theta:
2θ = 17.14°, 5.174 Å, rel. 100; 2θ = 20.84°, 4.262 Å, rel. 41; 2θ = 23.89°, 3.726 Å, rel. 38; 2θ = 24.76°, 3.595 Å, rel. 19; 2θ = 27.50°, 3.243 Å, rel. 36; 2θ = 29.37°, 3.041 Å, rel. 31; 2θ = 32.43°, 2.761 Å, rel. 20; 2θ = 41.35°, 2.183 Å, rel. 20

=====

Calculated powder XRD pattern
Compound: Li9Mn2Co5O16
Radiation: Cu Ka
Structure: a cell relaxed with PBE+U
Lines closer than 0.1° are merged.

Structural model:
a b c (Å): 2.9925 5.0431 19.3427
angles (deg): 93.10 91.42 91.65
Fractional coordinates of all 32 atoms:
Li  0.0000  0.0000  0.0000
Li  0.9999  0.1277  0.3754
Li  0.0062  0.3723  0.1190
Li  0.4965  0.8829  0.1179
Li  0.5011  0.3732  0.6250
Li  0.5006  0.6233  0.3761
Li  0.5033  0.1224  0.8815
Li  0.9970  0.6257  0.8826
Li  0.9986  0.8771  0.6238
Mn  0.0017  0.7500  0.2501
Mn  0.4992  0.7503  0.7506
Co  0.0008  0.5003  0.5004
Co  0.4999  0.0002  0.4999
Co  0.5002  0.5000  0.0003
Co  0.5016  0.2502  0.2495
Co  0.9980  0.2504  0.7504
O  0.0038  0.4440  0.3083
O  0.0043  0.8134  0.4427
O  0.0155  0.6688  0.0546
O  0.0239  0.5559  0.6930
O  0.4684  0.4363  0.8053
O  0.4707  0.9454  0.3085
O  0.4938  0.2278  0.0557
O  0.4966  0.6873  0.5582
O  0.5044  0.3140  0.4428
O  0.5078  0.7714  0.9443
O  0.5306  0.5580  0.1933
O  0.5318  0.0594  0.6934
O  0.9782  0.9458  0.8078
O  0.9843  0.3307  0.9457
O  0.9967  0.0561  0.1919
O  0.9974  0.1864  0.5579

Largest 8 diffraction maxima, by angle, 15 to 90 degrees two-theta:
2θ = 18.38°, 4.826 Å, rel. 100; 2θ = 34.77°, 2.580 Å, rel. 17; 2θ = 35.93°, 2.500 Å, rel. 13; 2θ = 36.40°, 2.469 Å, rel. 11; 2θ = 41.93°, 2.155 Å, rel. 31; 2θ = 43.65°, 2.073 Å, rel. 27; 2θ = 44.47°, 2.037 Å, rel. 25; 2θ = 62.08°, 1.495 Å, rel. 8